[1]
Theoretical X-ray powder pattern
Compound: MgMnZnSiO6
Radiation: a wavelength of 1.5418 Å
Structure: a DFT-relaxed cell (PBE+U, the Materials Project)

Cell and atoms:
a b c (Å): 5.981 8.397 17.999
angles (deg): 90.00 90.00 90.00
Space group Cmce (No. 64)
One atom of each set of equivalent atoms:
Mg: 0.250 0.250 0.000 [8 per cell]
Mn: 0.000 0.017 0.084 [8 per cell]
Zn: 0.250 0.100 0.750 [8 per cell]
Si: 0.000 0.143 0.347 [8 per cell]
O: 0.000 0.229 0.075 [8 per cell]
O: 0.000 0.239 0.920 [8 per cell]
O: 0.000 0.241 0.773 [8 per cell]
O: 0.206 0.000 0.000 [8 per cell]
O: 0.228 0.029 0.344 [16 per cell]

Main lines, in order of rising 2θ (10 to 80 degrees two-theta):
| two_theta | I (rel.) | hkl |
| --- | --- | --- |
| 18.9 | 96 | 1 1 1 |
| 25.9 | 100 | 0 2 3 |
| 32.8 | 63 | 0 2 5 |
| 36.1 | 89 | 2 0 4 |
| 37.3 | 64 | 2 2 1 |
| 38.3 | 41 | 2 2 2 |
| 44.3 | 41 | 0 4 2 |
| 62.3 | 83 | 2 4 6 |

***

[2]
Theoretical X-ray powder pattern
Compound: MgCo2Ni4O8
Radiation: a wavelength of 1.5418 Å
Structure: a DFT-relaxed cell (PBE+U, the Materials Project)

Cell and atoms:
a b c (Å): 8.491 8.867 5.944
angles (deg): 90.00 134.38 90.00
Space group C2 (No. 5)
One atom of each set of equivalent atoms:
Mg: 0.000 0.000 0.000 [2 per cell]
Co: 0.000 0.568 0.500 [2 per cell]
Co: 0.000 0.716 0.000 [2 per cell]
Ni: 0.001 0.216 0.725 [4 per cell]
Ni: 0.239 0.909 0.739 [4 per cell]
O: 0.000 0.866 0.253 [4 per cell]
O: 0.001 0.437 0.760 [4 per cell]
O: 0.218 0.142 0.717 [4 per cell]
O: 0.218 0.167 0.217 [4 per cell]

Main lines, in order of rising 2θ (10 to 80 degrees two-theta):
| two_theta | I (rel.) | hkl |
| --- | --- | --- |
| 33.9 | 80 | 1 3 -1 |
| 34.7 | 100 | 3 1 -1 |
| 35.1 | 78 | 3 1 -2 |
| 35.9 | 31 | 2 2 0 |
| 42.6 | 29 | 0 0 2 |
| 45.8 | 24 | 3 3 -2 |
| 60.4 | 32 | 0 4 2 |
| 62.9 | 25 | 0 6 0 |

***

[3]
Theoretical X-ray powder pattern
Compound: LiLuZnFeO4
Radiation: a wavelength of 1.5418 Å
Structure: a DFT-relaxed cell (PBE+U, the Materials Project)

Cell and atoms:
a b c (Å): 3.2827 3.2827 31.4573
angles (deg): 90.00 90.00 120.00
Space group R3m (No. 160, hexagonal axes)
One atom of each set of equivalent atoms:
Li: 0.0000 0.0000 0.0000 [3 per cell]
Lu: 0.0000 0.0000 0.4967 [3 per cell]
Zn: 0.0000 0.0000 0.7318 [3 per cell]
Fe: 0.0000 0.0000 0.2632 [3 per cell]
O: 0.0000 0.0000 0.1987 [3 per cell]
O: 0.0000 0.0000 0.3740 [3 per cell]
O: 0.0000 0.0000 0.6219 [3 per cell]
O: 0.0000 0.0000 0.7946 [3 per cell]

Main lines, in order of rising 2θ (10 to 80 degrees two-theta):
| two_theta | I (rel.) | hkl |
| --- | --- | --- |
| 25.5 | 69 | 0 0 9 |
| 31.6 | 58 | 1 0 1 |
| 33.5 | 100 | 1 0 4 |
| 34.6 | 35 | 0 1 5 |
| 39.1 | 66 | 0 1 8 |
| 49.5 | 36 | 1 0 13 |
| 56.0 | 39 | 1 1 0 |
| 62.5 | 32 | 1 1 9 |